For SrTlCdBr5, a structure optimized by DFT (PBE) gives the simulated PXRD pattern in this record (Cu Kα (weighted mean of Kα1 and Kα2)).

Unit cell a=8.1749 b=8.1749 c=10.8687 alpha=103.95 beta=103.95 gamma=106.00
Fractional coordinates of all 16 atoms:
Sr  0.0000  0.0000  0.0000
Sr  0.0000  0.0000  0.5000
Tl  0.3410  0.6590  0.7500
Tl  0.6590  0.3410  0.2500
Cd  0.3220  0.6780  0.2500
Cd  0.6780  0.3220  0.7500
Br  0.0786  0.6598  0.3730
Br  0.0961  0.9039  0.7500
Br  0.2707  0.3824  0.0562
Br  0.3402  0.9214  0.1270
Br  0.3824  0.2707  0.5562
Br  0.6176  0.7293  0.4438
Br  0.6598  0.0786  0.8730
Br  0.7293  0.6176  0.9438
Br  0.9039  0.0961  0.2500
Br  0.9214  0.3402  0.6270

Main lines, by intensity (2θ from 10° to 90°):
Position (°2θ), I/Imax
17.87, 100
22.46, 75
19.69, 75
36.33, 67
25.84, 67
28.73, 66
22.68, 61
25.53, 57
41.93, 51
39.35, 50

***

For Tl2Cd2Br5, a structure optimized by DFT (PBE) gives the simulated PXRD pattern in this record (Cu Kα (weighted mean of Kα1 and Kα2)).

Unit cell a=8.1512 b=8.1512 c=8.1749 alpha=113.91 beta=113.91 gamma=41.40
Fractional coordinates of all 9 atoms:
Tl  0.1118  0.1118  0.2982
Tl  0.8882  0.8882  0.7018
Cd  0.3583  0.3583  0.1352
Cd  0.6417  0.6417  0.8648
Br  0.1470  0.1470  0.8988
Br  0.3488  0.3488  0.4628
Br  0.5000  0.5000  0.0000
Br  0.6512  0.6512  0.5372
Br  0.8530  0.8530  0.1012

Main lines, by intensity (2θ from 10° to 90°):
Position (°2θ), I/Imax
31.04, 100
25.93, 88
22.20, 77
27.04, 72
21.89, 68
31.22, 54
40.87, 52
36.67, 52
36.10, 42
48.33, 37

***

For YCd2Br6, a structure optimized by DFT (PBE) gives the simulated PXRD pattern in this record (Cu Kα (weighted mean of Kα1 and Kα2)).

Unit cell a=8.5907 b=8.5907 c=8.5907 alpha=49.29 beta=49.29 gamma=49.29
Fractional coordinates of all 9 atoms:
Y  0.0000  0.0000  0.0000
Cd  0.6556  0.6556  0.6556
Cd  0.8276  0.8276  0.8276
Br  0.0464  0.7449  0.4073
Br  0.2452  0.6187  0.9024
Br  0.4073  0.0464  0.7449
Br  0.6187  0.9024  0.2452
Br  0.7449  0.4073  0.0464
Br  0.9024  0.2452  0.6187

Main lines, by intensity (2θ from 10° to 90°):
Position (°2θ), I/Imax
34.56, 100
27.57, 98
14.81, 79
43.77, 49
11.75, 27
44.06, 26
56.93, 21
74.46, 18
24.37, 18
67.25, 16

***

For ZrCd4Br, a structure optimized by DFT (PBE) gives the simulated PXRD pattern in this record (Cu Kα (weighted mean of Kα1 and Kα2)).

Unit cell a=5.9037 b=5.9037 c=5.9037 alpha=60.00 beta=60.00 gamma=60.00
Fractional coordinates of all 6 atoms:
Zr  0.0000  0.0000  0.0000
Cd  0.3739  0.3739  0.3739
Cd  0.3739  0.3739  0.8784
Cd  0.3739  0.8784  0.3739
Cd  0.8784  0.3739  0.3739
Br  0.7500  0.7500  0.7500

Main lines, by intensity (2θ from 10° to 90°):
Position (°2θ), I/Imax
35.67, 100
37.31, 50
57.34, 32
62.98, 29
30.28, 19
75.54, 17
18.41, 15
74.53, 11
43.35, 9
53.79, 7

***

For Ce3Br7Cl, a structure optimized by DFT (PBE) gives the simulated PXRD pattern in this record (Cu Kα (weighted mean of Kα1 and Kα2)).

Unit cell a=8.7957 b=8.7957 c=6.7812 alpha=90.00 beta=90.00 gamma=120.00
Fractional coordinates of all 11 atoms:
Ce  0.0024  0.5012  0.0000
Ce  0.4988  0.5012  0.0000
Ce  0.4988  0.9976  0.0000
Br  0.1751  0.3501  0.2376
Br  0.1751  0.8249  0.2376
Br  0.3500  0.1750  0.7667
Br  0.6499  0.8249  0.2376
Br  0.6667  0.3333  0.2446
Br  0.8250  0.1750  0.7667
Br  0.8250  0.6500  0.7667
Cl  0.3333  0.6667  0.7883

Main lines, by intensity (2θ from 10° to 90°):
Position (°2θ), I/Imax
26.85, 100
35.44, 60
13.06, 48
41.06, 45
46.73, 25
11.62, 18
49.73, 17
55.33, 16
17.51, 15
66.38, 15

***

For Cs2CeBr2Cl4, a structure optimized by DFT (PBE) gives the simulated PXRD pattern in this record (Cu Kα (weighted mean of Kα1 and Kα2)).

Unit cell a=7.8383 b=7.8383 c=7.8383 alpha=119.48 beta=119.48 gamma=90.91
Fractional coordinates of all 9 atoms:
Cs  0.2500  0.7500  0.5000
Cs  0.7500  0.2500  0.5000
Ce  0.0000  0.0000  0.0000
Br  0.2547  0.2547  0.0000
Br  0.7453  0.7453  0.0000
Cl  0.2355  0.2355  0.4709
Cl  0.2355  0.7645  0.0000
Cl  0.7645  0.2355  0.0000
Cl  0.7645  0.7645  0.5291

Main lines, by intensity (2θ from 10° to 90°):
Position (°2θ), I/Imax
27.81, 100
32.04, 92
22.51, 78
46.34, 62
13.80, 62
22.69, 49
32.57, 44
39.95, 36
57.45, 32
45.95, 32

***

For K2CeBrCl6, a structure optimized by DFT (PBE) gives the simulated PXRD pattern in this record (Cu Kα (weighted mean of Kα1 and Kα2)).

Unit cell a=7.4992 b=7.5101 c=7.8384 alpha=66.69 beta=69.15 gamma=84.17
Fractional coordinates of all 10 atoms:
K  0.0000  0.0000  0.0000
K  0.4843  0.6564  0.6193
Ce  0.9988  0.3102  0.3818
Br  0.4401  0.8371  0.9698
Cl  0.2009  0.0379  0.5516
Cl  0.2046  0.3388  0.0205
Cl  0.2367  0.5862  0.3456
Cl  0.7739  0.0443  0.4126
Cl  0.7876  0.5898  0.2381
Cl  0.7954  0.3189  0.7296

Main lines, by intensity (2θ from 10° to 90°):
Position (°2θ), I/Imax
14.74, 100
17.64, 92
18.48, 88
29.38, 86
14.38, 81
25.59, 78
24.46, 50
12.64, 45
32.65, 41
31.40, 40

***

For NaCeBrCl4, a structure optimized by DFT (PBE) gives the simulated PXRD pattern in this record (Cu Kα (weighted mean of Kα1 and Kα2)).

Unit cell a=7.6055 b=7.6055 c=10.3070 alpha=107.80 beta=107.80 gamma=73.47
Fractional coordinates of all 14 atoms:
Na  0.1171  0.1171  0.3834
Na  0.8829  0.8829  0.6166
Ce  0.3618  0.3618  0.7862
Ce  0.6382  0.6382  0.2138
Br  0.3805  0.3805  0.0762
Br  0.6195  0.6195  0.9238
Cl  0.0846  0.6530  0.7984
Cl  0.1276  0.1276  0.6679
Cl  0.3470  0.9154  0.2016
Cl  0.3651  0.3651  0.5380
Cl  0.6349  0.6349  0.4620
Cl  0.6530  0.0846  0.7984
Cl  0.8724  0.8724  0.3321
Cl  0.9154  0.3470  0.2016

Main lines, by intensity (2θ from 10° to 90°):
Position (°2θ), I/Imax
13.68, 100
12.50, 68
19.51, 57
14.90, 44
31.76, 38
27.90, 36
31.05, 25
34.85, 24
39.75, 22
37.56, 20